The following is a calculated powder diffractogram of PrNiAs2Pd. It was derived from the GGA-PBE geometry in OQMD, using Cu Kα (weighted mean of Kα1 and Kα2).

Most intense lines, 15 to 90 degrees two-theta, in order of falling intensity:
| 2θ (°) | d/Å | intensity | index |
| --- | --- | --- | --- |
| 34.52 | 2.598 | 1000 | 1 1 2 |
| 33.97 | 2.639 | 866 | 1 0 3 |
| 42.08 | 2.148 | 770 | 2 0 0 |
| 55.14 | 1.666 | 429 | 2 1 3 |
| 29.41 | 3.037 | 316 | 1 1 0 |
| 50.17 | 1.818 | 285 | 1 0 5 |
| 61.02 | 1.519 | 251 | 2 2 0 |
| 67.49 | 1.388 | 231 | 2 1 5 |
| 72.03 | 1.311 | 225 | 3 1 2 |
| 46.97 | 1.934 | 176 | 1 1 4 |

Structural model:
Cell: 4.295 4.295 10.036 Å, 90.00 90.00 90.00°
Space group P4/nmm (No. 129, origin choice 2)
Symmetry-distinct sites (fractional):
Pr1 0.250 0.250 0.237 [2 per cell]
Ni1 0.250 0.750 0.000 [2 per cell]
As1 0.250 0.250 0.885 [2 per cell]
As2 0.250 0.750 0.500 [2 per cell]
Pd1 0.250 0.250 0.636 [2 per cell]